This entry pairs a crystal structure of MnTlHS2 with its calculated XRD peak list. Radiation: Cu Kα (λ = 1.5418 Å). Structure: a crystal structure in Alexandria, relaxed with PBE.

```
data_MnTlHS2
_chemical_formula_sum 'Mn4 Tl4 H4 S8'
_cell_length_a 5.267
_cell_length_b 12.384
_cell_length_c 5.507
_cell_angle_alpha 90.00
_cell_angle_beta 90.00
_cell_angle_gamma 90.00
_space_group_name_H-M_alt 'C m m e'
_space_group_IT_number 67
_space_group_name_Hall '-C 2a 2'
loop_
_atom_site_label
_atom_site_type_symbol
_atom_site_fract_x
_atom_site_fract_y
_atom_site_fract_z
Mn1 Mn 0.250 0.000 0.000
Tl1 Tl 0.000 0.250 0.239
H1 H 0.000 0.000 0.500
S1 S 0.000 0.080 0.739
```

Principal peaks in the range 15° ≤ 2θ ≤ 90°, most intense first:
| hkl | 2θ/deg | I/Imax |
| --- | --- | --- |
| 1 3 1 | 31.98 | 100 |
| 1 1 1 | 24.47 | 75 |
| 0 2 2 | 35.69 | 26 |
| 0 4 0 | 28.84 | 24 |
| 2 2 0 | 37.10 | 23 |
| 2 0 2 | 47.79 | 23 |
| 3 3 1 | 59.66 | 19 |
| 1 3 3 | 57.68 | 18 |